No. 1
The following is a calculated X-ray powder pattern of Pa3Co2B4. It was derived from a cell relaxed with GGA-PBE, using Cu Kα (weighted mean of Kα1 and Kα2).
Kinematic intensities with the Lorentz-polarization factor, no thermal factor.

Atomic structure:
Unit cell a=3.695 b=5.797 c=12.731 alpha=90.00 beta=90.00 gamma=90.00
Space group Immm (No. 71)
Asymmetric unit:
Pa 0.000 0.000 0.000 (multiplicity 2)
Pa 0.000 0.500 0.171 (multiplicity 4)
Co 0.000 0.191 0.500 (multiplicity 4)
B 0.000 0.352 0.357 (multiplicity 8)

Main lines, in order of rising 2θ (2θ from 5° to 70°):
h k l  two_theta  d_spacing  I/Imax
0 1 3  26.02  3.424  100
0 2 0  30.85  2.899  29
1 1 2  31.98  2.799  88
1 2 1  40.17  2.245  51
1 1 4  40.51  2.227  37
0 3 3  52.00  1.759  27

No. 2
The following is a calculated X-ray powder pattern of Tm3NiAu. It was derived from a cell relaxed with GGA-PBE, using Cu Kα (weighted mean of Kα1 and Kα2).
Kinematic intensities with the Lorentz-polarization factor, no thermal factor.

Atomic structure:
Unit cell a=4.041 b=6.855 c=8.715 alpha=90.00 beta=90.00 gamma=90.00
Space group Pmmn (No. 59, origin choice 2)
Asymmetric unit:
Tm 0.250 0.004 0.164 (multiplicity 4)
Tm 0.250 0.250 0.566 (multiplicity 2)
Ni 0.250 0.250 0.902 (multiplicity 2)
Au 0.250 0.750 0.670 (multiplicity 2)

Main lines, in order of rising 2θ (2θ from 5° to 70°):
h k l  two_theta  d_spacing  I/Imax
0 2 1  27.97  3.190  40
1 0 2  30.16  2.963  67
1 1 2  32.93  2.720  22
1 2 1  35.87  2.504  100
0 2 3  40.71  2.216  23
2 0 0  44.86  2.021  26

No. 3
The following is a calculated X-ray powder pattern of Pa2GaB2Ru5. It was derived from a cell relaxed with GGA-PBE, using Cu Kα (weighted mean of Kα1 and Kα2).
Kinematic intensities with the Lorentz-polarization factor, no thermal factor.

Atomic structure:
Unit cell a=9.527 b=9.527 c=3.216 alpha=90.00 beta=90.00 gamma=90.00
Space group P4/mbm (No. 127)
Asymmetric unit:
Pa 0.176 0.324 0.000 (multiplicity 4)
Ga 0.000 0.000 0.000 (multiplicity 2)
B 0.122 0.622 0.000 (multiplicity 4)
Ru 0.000 0.500 0.500 (multiplicity 2)
Ru 0.071 0.781 0.500 (multiplicity 8)

Main lines, in order of rising 2θ (2θ from 5° to 70°):
h k l  two_theta  d_spacing  I/Imax
2 1 0  20.85  4.261  31
2 1 1  34.96  2.567  100
2 2 1  38.71  2.326  27
4 1 0  38.98  2.311  82
3 3 0  40.16  2.246  25
3 1 1  41.05  2.199  77

No. 4
The following is a calculated X-ray powder pattern of Nd3Er2Bi3. It was derived from a cell relaxed with GGA-PBE, using Cu Kα (weighted mean of Kα1 and Kα2).
Kinematic intensities with the Lorentz-polarization factor, no thermal factor.

Atomic structure:
Unit cell a=4.488 b=14.322 c=16.032 alpha=90.00 beta=90.00 gamma=90.00
Space group Cmcm (No. 63)
Asymmetric unit:
Nd 0.000 0.047 0.117 (multiplicity 8)
Nd 0.000 0.340 0.250 (multiplicity 4)
Er 0.000 0.238 0.593 (multiplicity 8)
Bi 0.000 0.368 0.750 (multiplicity 4)
Bi 0.000 0.395 0.041 (multiplicity 8)

Main lines, in order of rising 2θ (2θ from 5° to 70°):
h k l  two_theta  d_spacing  I/Imax
1 3 0  27.27  3.270  35
1 1 4  30.55  2.926  80
1 3 3  32.09  2.789  100
0 4 4  33.56  2.671  54
2 0 0  40.19  2.244  35
2 4 4  53.32  1.718  30

No. 5
The following is a calculated X-ray powder pattern of NaInF5. It was derived from a cell relaxed with GGA-PBE, using Cu Kα (weighted mean of Kα1 and Kα2).
Kinematic intensities with the Lorentz-polarization factor, no thermal factor.

Atomic structure:
Unit cell a=8.537 b=6.849 c=8.108 alpha=90.00 beta=103.74 gamma=90.00
Space group C2/c (No. 15)
Asymmetric unit:
Na 0.000 0.046 0.250 (multiplicity 4)
In 0.000 0.500 0.000 (multiplicity 4)
F 0.000 0.401 0.250 (multiplicity 4)
F 0.021 0.203 0.948 (multiplicity 8)
F 0.249 0.463 0.579 (multiplicity 8)

Main lines, in order of rising 2θ (2θ from 5° to 70°):
h k l  two_theta  d_spacing  I/Imax
1 1 0  16.79  5.281  83
2 0 0  21.43  4.146  64
0 0 2  22.58  3.938  35
1 1 -2  26.07  3.417  100
4 0 0  43.65  2.073  22
2 2 -4  53.70  1.707  22

No. 6
The following is a calculated X-ray powder pattern of Ac2ZnAs2O2. It was derived from a cell relaxed with GGA-PBE, using Cu Kα (weighted mean of Kα1 and Kα2).
Kinematic intensities with the Lorentz-polarization factor, no thermal factor.

Atomic structure:
Unit cell a=4.1597 b=4.1597 c=12.4030 alpha=90.00 beta=90.00 gamma=120.00
Space group P-3m1 (No. 164)
Asymmetric unit:
Ac 0.3333 0.6667 0.1312 (multiplicity 2)
Zn 0.0000 0.0000 0.5000 (multiplicity 1)
As 0.0000 0.0000 0.3148 (multiplicity 2)
O 0.3333 0.6667 0.9240 (multiplicity 2)

Main lines, in order of rising 2θ (2θ from 5° to 70°):
h k l  two_theta  d_spacing  I/Imax
0 0 1  7.13  12.403  66
1 0 1  25.75  3.459  100
1 0 2  28.66  3.115  61
0 1 3  32.98  2.716  34
1 1 0  43.51  2.080  38
0 2 2  52.98  1.728  25

No. 7
The following is a calculated X-ray powder pattern of Rb4ZnCd2. It was derived from a cell relaxed with GGA-PBE, using Cu Kα (weighted mean of Kα1 and Kα2).
Kinematic intensities with the Lorentz-polarization factor, no thermal factor.

Atomic structure:
Unit cell a=6.975 b=6.975 c=17.673 alpha=90.00 beta=90.00 gamma=90.00
Space group I4/mmm (No. 139)
Asymmetric unit:
Rb 0.000 0.000 0.205 (multiplicity 4)
Rb 0.000 0.500 0.000 (multiplicity 4)
Zn 0.000 0.000 0.000 (multiplicity 2)
Cd 0.000 0.000 0.414 (multiplicity 4)

Main lines, in order of rising 2θ (2θ from 5° to 70°):
h k l  two_theta  d_spacing  I/Imax
0 0 2  10.01  8.837  43
1 1 0  17.99  4.932  50
2 0 0  25.54  3.487  100
1 0 5  28.31  3.153  75
2 2 0  36.44  2.466  39
2 1 5  38.49  2.339  65

Repeat the seventh record exactly.
The following is a calculated X-ray powder pattern of Rb4ZnCd2. It was derived from a cell relaxed with GGA-PBE, using Cu Kα (weighted mean of Kα1 and Kα2).
Kinematic intensities with the Lorentz-polarization factor, no thermal factor.

Atomic structure:
Unit cell a=6.975 b=6.975 c=17.673 alpha=90.00 beta=90.00 gamma=90.00
Space group I4/mmm (No. 139)
Asymmetric unit:
Rb 0.000 0.000 0.205 (multiplicity 4)
Rb 0.000 0.500 0.000 (multiplicity 4)
Zn 0.000 0.000 0.000 (multiplicity 2)
Cd 0.000 0.000 0.414 (multiplicity 4)

Main lines, in order of rising 2θ (2θ from 5° to 70°):
h k l  two_theta  d_spacing  I/Imax
0 0 2  10.01  8.837  43
1 1 0  17.99  4.932  50
2 0 0  25.54  3.487  100
1 0 5  28.31  3.153  75
2 2 0  36.44  2.466  39
2 1 5  38.49  2.339  65

Number 2 is which compound? Tm3NiAu